# Sb2TeAsRu
Calculated powder diffractogram, λ = 1.5418 Å (Cu Kα). Input: DFT lattice parameters and positions (GGA-PBE).
Lines closer than 0.1° are merged.

Principal peaks in the range 15 to 90 degrees two-theta, in order of rising 2θ:
d [Å]	I/Imax	hkl
5.389	20	0 0 1
5.022	36	1 0 0
2.965	100	1 1 1
2.694	50	0 0 2
2.511	82	2 0 0
1.837	63	2 0 2
1.775	28	2 2 0
1.603	16	1 1 3
1.523	27	3 1 1
1.483	31	2 2 2
1.187	15	2 0 4
1.138	13	4 0 2

Structure:
abc: 5.0217 5.0217 5.3885
angles: 90.00 90.00 90.00
Space group P4/mmm (No. 123)
Asymmetric unit:
1 Sb 0.0000 0.5000 0.0000 (multiplicity 2)
2 Te 0.0000 0.0000 0.5000 (multiplicity 1)
3 As 0.5000 0.5000 0.5000 (multiplicity 1)
4 Ru 0.0000 0.0000 0.0000 (multiplicity 1)